Diffraction record for Li4ZnP2S8. The powder diffractogram is theoretical, not measured: it uses a crystal structure in Alexandria, relaxed with GGA-PBE and a wavelength of 1.5418 Å.
Neutral-atom scattering factors, no anomalous dispersion.

Structural model:
```
Li4ZnP2S8
1.0
6.144 0.000 0.000
-0.594 10.329 0.000
-2.309 -2.148 9.863
Li Zn P S
8 2 4 16
Cartesian
0.000 0.000 0.000
-2.375 1.103 9.495
0.075 2.368 3.462
-0.126 6.893 4.934
0.536 -0.157 7.428
2.762 5.382 0.023
2.606 4.995 3.358
3.321 1.587 5.102
2.790 8.746 2.507
3.332 5.002 7.439
-0.186 7.000 1.311
0.259 3.405 6.259
3.054 1.886 1.265
2.918 8.415 6.201
-1.709 -1.032 7.801
-1.705 2.996 6.868
-2.083 5.953 9.481
0.641 5.138 1.241
1.009 1.734 1.371
0.530 8.132 2.878
0.355 4.526 4.552
0.968 1.556 5.727
0.971 8.161 6.634
1.098 4.386 7.859
1.269 0.928 9.522
3.834 0.015 0.845
3.782 2.762 2.981
3.907 6.760 1.726
4.050 -0.713 4.583
3.713 6.534 5.690
```

Principal peaks in the range 2θ from 10° to 90°, low angle first:
| two_theta | I (rel.) |
| --- | --- |
| 18.0 | 1000 |
| 18.1 | 329 |
| 29.1 | 914 |
| 29.2 | 946 |
| 35.6 | 174 |
| 43.5 | 197 |
| 43.6 | 211 |
| 45.7 | 189 |
| 50.8 | 276 |
| 53.2 | 196 |

Diffraction record for LiSb2P3. The powder diffractogram is theoretical, not measured: it uses a crystal structure in Alexandria, relaxed with GGA-PBE and a wavelength of 1.5418 Å.
Neutral-atom scattering factors, no anomalous dispersion.

Structural model:
```
LiSb2P3
1.0
5.014 0.000 0.000
-2.507 4.342 0.000
0.000 0.000 5.603
Li Sb P
1 2 3
Cartesian
0.000 0.000 0.000
0.000 2.895 1.598
2.507 1.447 4.005
0.000 0.000 2.802
0.000 2.895 4.172
2.507 1.447 1.432
```

Principal peaks in the range 2θ from 10° to 90°, low angle first:
| two_theta | I (rel.) |
| --- | --- |
| 20.5 | 487 |
| 26.0 | 902 |
| 31.9 | 237 |
| 35.8 | 1000 |
| 38.2 | 553 |
| 44.8 | 217 |
| 48.7 | 443 |
| 53.4 | 331 |
| 58.6 | 193 |
| 66.0 | 280 |

Diffraction record for Li8Sb2P. The powder diffractogram is theoretical, not measured: it uses a crystal structure in Alexandria, relaxed with GGA-PBE and a wavelength of 1.5418 Å.
Neutral-atom scattering factors, no anomalous dispersion.

Structural model:
```
Li8Sb2P
1.0
-2.155 6.600 3.416
2.155 -6.600 3.416
2.155 6.600 -3.416
Li Sb P
8 2 1
Cartesian
0.000 0.000 0.000
2.155 2.023 0.071
2.155 5.249 -1.146
2.155 -2.439 3.340
0.000 1.351 2.269
0.000 6.600 0.960
2.155 2.439 3.340
0.000 4.576 3.487
2.155 4.520 1.594
0.000 2.080 5.009
2.155 0.000 1.710
```

Principal peaks in the range 2θ from 10° to 90°, low angle first:
| two_theta | I (rel.) |
| --- | --- |
| 14.6 | 418 |
| 24.1 | 1000 |
| 24.4 | 962 |
| 26.1 | 381 |
| 29.0 | 583 |
| 39.4 | 687 |
| 44.8 | 200 |
| 45.0 | 198 |
| 48.3 | 295 |
| 48.9 | 283 |

Diffraction record for LiSc2UP4. The powder diffractogram is theoretical, not measured: it uses a crystal structure in Alexandria, relaxed with GGA-PBE and a wavelength of 1.5418 Å.
Neutral-atom scattering factors, no anomalous dispersion.

Structural model:
```
LiSc2UP4
1.0
-2.674 2.674 5.459
2.674 -2.674 5.459
2.674 2.674 -5.459
Li Sc U P
1 2 1 4
Cartesian
0.000 0.000 0.000
2.674 0.000 2.729
0.000 2.674 2.729
0.000 0.000 5.459
2.674 0.000 0.000
0.000 0.000 2.819
0.000 2.674 0.000
0.000 0.000 8.099
```

Principal peaks in the range 2θ from 10° to 90°, low angle first:
| two_theta | I (rel.) |
| --- | --- |
| 18.5 | 1000 |
| 28.7 | 270 |
| 29.7 | 288 |
| 32.8 | 246 |
| 33.5 | 467 |
| 38.5 | 329 |
| 45.4 | 187 |
| 47.6 | 336 |
| 48.1 | 163 |
| 59.5 | 171 |

Diffraction record for Li8P2Se. The powder diffractogram is theoretical, not measured: it uses a crystal structure in Alexandria, relaxed with GGA-PBE and a wavelength of 1.5418 Å.
Neutral-atom scattering factors, no anomalous dispersion.

Structural model:
```
Li8P2Se
1.0
-2.101 3.004 6.354
2.101 -3.004 6.354
2.101 3.004 -6.354
Li P Se
8 2 1
Cartesian
2.101 1.617 -2.019
0.000 0.000 2.271
0.000 1.728 0.000
2.101 1.617 2.019
0.000 1.387 4.335
0.000 4.280 0.000
0.000 0.000 10.438
0.000 1.387 8.373
2.101 0.000 4.101
0.000 3.004 2.253
2.101 0.000 0.000
```

Principal peaks in the range 2θ from 10° to 90°, low angle first:
| two_theta | I (rel.) |
| --- | --- |
| 16.3 | 398 |
| 25.7 | 894 |
| 25.9 | 893 |
| 29.7 | 268 |
| 30.0 | 500 |
| 42.7 | 1000 |
| 43.1 | 204 |
| 50.4 | 256 |
| 50.6 | 241 |
| 50.8 | 248 |

Diffraction record for LiP6Se3. The powder diffractogram is theoretical, not measured: it uses a crystal structure in Alexandria, relaxed with GGA-PBE and a wavelength of 1.5418 Å.
Neutral-atom scattering factors, no anomalous dispersion.

Structural model:
```
LiP6Se3
1.0
3.582 0.000 0.000
-1.791 3.102 0.000
0.000 0.000 16.234
Li P Se
1 6 3
Cartesian
0.000 0.000 0.000
0.000 2.068 5.164
0.000 2.068 9.855
0.000 2.068 14.413
1.791 1.034 1.821
1.791 1.034 6.379
1.791 1.034 11.069
0.000 0.000 3.308
0.000 0.000 8.117
0.000 0.000 12.926
```

Principal peaks in the range 2θ from 10° to 90°, low angle first:
| two_theta | I (rel.) |
| --- | --- |
| 10.9 | 169 |
| 16.4 | 298 |
| 28.8 | 268 |
| 33.3 | 1000 |
| 36.5 | 591 |
| 49.0 | 398 |
| 51.0 | 419 |
| 62.3 | 154 |
| 79.7 | 166 |
| 84.6 | 135 |

Diffraction record for Li8PSe6. The powder diffractogram is theoretical, not measured: it uses a crystal structure in Alexandria, relaxed with GGA-PBE and a wavelength of 1.5418 Å.
Neutral-atom scattering factors, no anomalous dispersion.

Structural model:
```
Li8PSe6
1.0
-3.645 3.645 5.532
3.645 -3.645 5.532
3.645 3.645 -5.532
Li P Se
8 1 6
Cartesian
4.929 2.343 -3.469
4.985 0.981 -0.717
-1.285 1.301 2.063
0.981 2.304 0.717
2.343 2.360 3.469
2.663 1.340 6.248
-1.340 2.663 4.815
1.301 1.285 9.000
0.000 0.000 5.532
0.000 0.000 0.000
3.529 1.677 1.289
1.967 -0.115 4.243
1.677 3.760 -1.289
0.000 3.645 2.766
0.115 1.967 6.821
```

Principal peaks in the range 2θ from 10° to 90°, low angle first:
| two_theta | I (rel.) |
| --- | --- |
| 23.6 | 468 |
| 24.4 | 190 |
| 27.1 | 595 |
| 28.5 | 1000 |
| 29.3 | 792 |
| 42.5 | 287 |
| 42.7 | 177 |
| 45.6 | 301 |
| 48.3 | 460 |
| 50.1 | 185 |